Theoretical X-ray powder pattern of KCu2SbSe3 for Cu Kα X-rays, from a DFT-relaxed cell (GGA-PBE, OQMD).

Structure:
```
data_KCu2SbSe3
_cell_length_a 6.751
_cell_length_b 10.951
_cell_length_c 19.784
_cell_angle_alpha 90.00
_cell_angle_beta 108.78
_cell_angle_gamma 90.00
_space_group_name_H-M_alt 'P 1 21/c 1'
_space_group_IT_number 14
_space_group_name_Hall '-P 2ybc'
loop_
_atom_site_label
_atom_site_fract_x
_atom_site_fract_y
_atom_site_fract_z
_atom_site_occupancy
K1 0.010 0.129 0.211 1
K2 0.484 0.633 0.786 1
Cu1 0.057 0.169 0.555 1
Cu2 0.169 0.550 0.586 1
Cu3 0.339 0.037 0.417 1
Cu4 0.355 0.137 0.870 1
Sb1 0.117 0.643 0.089 1
Sb2 0.495 0.145 0.017 1
Se1 0.000 0.050 0.650 1
Se2 0.020 0.672 0.660 1
Se3 0.098 0.631 0.464 1
Se4 0.390 0.127 0.536 1
Se5 0.474 0.167 0.342 1
Se6 0.491 0.060 0.144 1
```

The 10 most intense peaks (2θ from 10° to 80°), by angle:
12.4°, 7.118 Å, rel. 291, (0 1 2); 27.9°, 3.196 Å, rel. 547, (2 0 0); 28.5°, 3.128 Å, rel. 397, (1 2 -5); 29.1°, 3.068 Å, rel. 284, (2 1 0); 29.5°, 3.028 Å, rel. 1000, (1 3 -3); 29.8°, 3.002 Å, rel. 420, (0 1 6); 32.7°, 2.738 Å, rel. 348, (0 4 0); 36.3°, 2.478 Å, rel. 289, (2 3 -2); 47.5°, 1.915 Å, rel. 522, (3 3 -3); 53.4°, 1.717 Å, rel. 288, (3 2 -9)